Entry 1:
CsZrCu3Te4: calculated X-ray diffraction stick pattern (Cu Kα X-rays), based on a DFT-relaxed cell (GGA-PBE, OQMD).
No peak broadening, texture or thermal motion is included.

Structural model:
Cell: 6.8534 6.8534 6.8534 Å, 90.00 90.00 90.00°
Positions (direct):
Cs: 0.0000 0.0000 0.0000
Zr: 0.5000 0.5000 0.5000
Cu: 0.0000 0.5000 0.5000
Cu: 0.5000 0.0000 0.5000
Cu: 0.5000 0.5000 0.0000
Te: 0.2748 0.2748 0.2748
Te: 0.2748 0.7252 0.7252
Te: 0.7252 0.2748 0.7252
Te: 0.7252 0.7252 0.2748

Largest 6 diffraction maxima, by angle, 15 to 90 degrees two-theta:
two_theta  d_spacing  intensity
18.3  4.846  22
22.5  3.957  91
32.0  2.798  16
37.1  2.423  100
43.8  2.066  40
66.9  1.399  28

***

Entry 2:
CsAgF2: calculated X-ray diffraction stick pattern (Cu Kα X-rays), based on a DFT-relaxed cell (GGA-PBE, OQMD).
No peak broadening, texture or thermal motion is included.

Structural model:
Cell: 4.3347 4.3347 8.7002 Å, 90.00 90.00 90.00°
Positions (direct):
Cs: 0.2500 0.2500 0.1890
Cs: 0.7500 0.7500 0.8110
Ag: 0.2500 0.2500 0.6099
Ag: 0.7500 0.7500 0.3901
F: 0.2500 0.2500 0.8695
F: 0.2500 0.7500 0.5000
F: 0.7500 0.2500 0.5000
F: 0.7500 0.7500 0.1305

Largest 6 diffraction maxima, by angle, 15 to 90 degrees two-theta:
two_theta  d_spacing  intensity
29.1  3.068  100
37.3  2.410  22
41.7  2.167  24
51.6  1.771  27
57.2  1.612  12
68.4  1.371  12

***

Entry 3:
LaNdGa4Ir2: calculated X-ray diffraction stick pattern (Cu Kα X-rays), based on a DFT-relaxed cell (GGA-PBE, OQMD).
No peak broadening, texture or thermal motion is included.

Structural model:
Cell: 4.2386 7.2535 5.6319 Å, 90.00 111.44 90.00°
Positions (direct):
La: 0.0000 0.0000 0.0000
Nd: 0.8650 0.5000 0.7259
Ga: 0.2834 0.1987 0.5582
Ga: 0.2834 0.8013 0.5582
Ga: 0.5837 0.3063 0.1700
Ga: 0.5837 0.6937 0.1700
Ir: 0.1422 0.5000 0.2892
Ir: 0.7277 0.0000 0.4430

Largest 6 diffraction maxima, by angle, 15 to 90 degrees two-theta:
two_theta  d_spacing  intensity
33.6  2.670  71
33.7  2.660  63
35.3  2.540  84
35.7  2.515  85
36.4  2.465  100
42.7  2.119  69

***

Entry 4:
DyErAlNi2: calculated X-ray diffraction stick pattern (Cu Kα X-rays), based on a DFT-relaxed cell (GGA-PBE, OQMD).
No peak broadening, texture or thermal motion is included.

Structural model:
Cell: 3.6259 3.8974 13.5619 Å, 90.00 90.00 90.00°
Positions (direct):
Dy: 0.0000 0.0000 0.0000
Dy: 0.0000 0.5000 0.5000
Er: 0.0000 0.0000 0.7348
Er: 0.0000 0.5000 0.2348
Al: 0.5000 0.0000 0.3667
Al: 0.5000 0.5000 0.8667
Ni: 0.5000 0.0000 0.1736
Ni: 0.5000 0.0000 0.5629
Ni: 0.5000 0.5000 0.0629
Ni: 0.5000 0.5000 0.6736

Largest 6 diffraction maxima, by angle, 15 to 90 degrees two-theta:
two_theta  d_spacing  intensity
23.8  3.746  32
26.3  3.390  43
34.4  2.605  100
36.3  2.476  70
39.4  2.289  98
40.5  2.226  40

***

Entry 5:
PrBeAsO: calculated X-ray diffraction stick pattern (Cu Kα X-rays), based on a DFT-relaxed cell (GGA-PBE, OQMD).
No peak broadening, texture or thermal motion is included.

Structural model:
Cell: 3.9327 3.9327 8.8397 Å, 90.00 90.00 90.00°
Positions (direct):
Pr: 0.2500 0.2500 0.1422
Pr: 0.7500 0.7500 0.8578
Be: 0.2500 0.7500 0.5000
Be: 0.7500 0.2500 0.5000
As: 0.2500 0.2500 0.6478
As: 0.7500 0.7500 0.3522
O: 0.2500 0.7500 0.0000
O: 0.7500 0.2500 0.0000

Largest 6 diffraction maxima, by angle, 15 to 90 degrees two-theta:
two_theta  d_spacing  intensity
24.8  3.593  8
30.4  2.938  100
32.2  2.781  36
46.2  1.966  20
52.9  1.730  21
56.3  1.634  35

***

Entry 6:
Zr2InNi2Sb: calculated X-ray diffraction stick pattern (Cu Kα X-rays), based on a DFT-relaxed cell (GGA-PBE, OQMD).
No peak broadening, texture or thermal motion is included.

Structural model:
Cell: 7.6015 7.6015 7.6015 Å, 132.04 132.04 70.16°
Positions (direct):
Zr: 0.2470 0.2470 0.0000
Zr: 0.5030 0.0030 0.5000
Zr: 0.7530 0.7530 0.0000
Zr: 0.9970 0.4970 0.5000
In: 0.0000 0.0000 0.0000
In: 0.7500 0.2500 0.5000
Ni: 0.1347 0.6250 0.0097
Ni: 0.3750 0.3847 0.5097
Ni: 0.6153 0.1250 0.9903
Ni: 0.8750 0.8653 0.4903
Sb: 0.2500 0.7500 0.5000
Sb: 0.5000 0.5000 0.0000

Largest 6 diffraction maxima, by angle, 15 to 90 degrees two-theta:
two_theta  d_spacing  intensity
24.9  3.575  25
28.7  3.110  19
28.9  3.089  37
41.2  2.192  100
41.3  2.184  49
75.3  1.263  31